Theoretical powder diffractogram of ReSe2Cl12 for Cu Kα, from the GGA-PBE geometry in the Materials Project.
No peak broadening, texture or thermal motion is included.

Structure:
abc: 8.8625 8.8625 12.5026
angles: 109.22 109.22 94.08
Fractional positions:
Re 0.0000 0.0000 0.0000
Re 0.2433 0.7515 0.5013
Se 0.0548 0.1100 0.6635
Se 0.3613 0.8141 0.1687
Se 0.5937 0.5475 0.6640
Se 0.7997 0.3486 0.1675
Cl 0.0309 0.1918 0.5128
Cl 0.0358 0.7318 0.0042
Cl 0.1121 0.9594 0.8480
Cl 0.1264 0.4839 0.3526
Cl 0.1785 0.3515 0.8102
Cl 0.2097 0.8666 0.3544
Cl 0.2551 0.1081 0.1542
Cl 0.2931 0.6336 0.6549
Cl 0.3559 0.5550 0.1514
Cl 0.3624 0.0124 0.6602
Cl 0.4496 0.7906 0.0149
Cl 0.4766 0.3098 0.5173
Cl 0.5098 0.7135 0.5036
Cl 0.5571 0.2184 0.0165
Cl 0.6036 0.9299 0.3175
Cl 0.6274 0.4512 0.8186
Cl 0.7043 0.3786 0.3133
Cl 0.7327 0.8846 0.8511
Cl 0.7955 0.5915 0.1596
Cl 0.8006 0.1049 0.6544
Cl 0.8396 0.5365 0.6560
Cl 0.8887 0.0350 0.1565
Cl 0.9523 0.2594 0.0046
Cl 0.9876 0.7828 0.5027

Top 12 peaks for 2θ = 10–90°, most intense first:
Position (°2θ)  I (rel.)
16.77  100
10.79  68
41.21  50
15.75  47
31.80  47
25.91  46
22.21  39
15.88  35
40.83  25
31.31  23
32.38  21
48.97  21

Theoretical powder diffractogram of BaAs2Pd2 for Cu Kα, from the GGA-PBE geometry in the Materials Project.
No peak broadening, texture or thermal motion is included.

Structure:
abc: 6.2343 6.2343 6.2343
angles: 137.38 137.38 61.85
Fractional positions:
Ba 0.0000 0.0000 0.0000
As 0.3681 0.3681 0.0000
As 0.6319 0.6319 0.0000
Pd 0.2500 0.7500 0.5000
Pd 0.7500 0.2500 0.5000

Top 12 peaks for 2θ = 10–90°, most intense first:
Position (°2θ)  I (rel.)
32.58  100
39.79  65
31.94  61
51.90  30
59.32  24
67.70  23
57.53  22
44.11  22
87.31  16
46.97  15
84.06  14
16.58  12

Theoretical powder diffractogram of Gd for Cu Kα, from the GGA-PBE geometry in the Materials Project.
No peak broadening, texture or thermal motion is included.

Structure:
abc: 3.4960 3.4960 3.4960
angles: 109.47 109.47 109.47
Fractional positions:
Gd 0.0000 0.0000 0.0000

Top 6 peaks for 2θ = 10–90°, most intense first:
Position (°2θ)  I (rel.)
31.34  100
55.78  39
44.91  19
74.30  17
65.39  12
82.83  4

Theoretical powder diffractogram of NaAl11O17 for Cu Kα, from the GGA-PBE geometry in the Materials Project.
No peak broadening, texture or thermal motion is included.

Structure:
abc: 5.6493 5.6493 22.9321
angles: 97.01 97.01 60.01
Fractional positions:
Na 0.0000 0.0000 0.0000
Na 0.5537 0.5537 0.4991
Al 0.0892 0.0892 0.2673
Al 0.1138 0.6182 0.3495
Al 0.1179 0.1179 0.8490
Al 0.1178 0.6134 0.8490
Al 0.1394 0.1394 0.4165
Al 0.1900 0.1900 0.5659
Al 0.2107 0.2107 0.1345
Al 0.2108 0.7129 0.1345
Al 0.2131 0.7111 0.6339
Al 0.2389 0.2389 0.7167
Al 0.4136 0.4136 0.2416
Al 0.5892 0.5892 0.7674
Al 0.6134 0.1178 0.8490
Al 0.6182 0.1138 0.3495
Al 0.6178 0.6178 0.3481
Al 0.6387 0.6387 0.9165
Al 0.6886 0.6886 0.0657
Al 0.7111 0.2131 0.6339
Al 0.7115 0.7115 0.6359
Al 0.7129 0.2108 0.1345
Al 0.7389 0.7389 0.2168
Al 0.9143 0.9143 0.7417
O 0.0545 0.0545 0.6908
O 0.0539 0.5826 0.6914
O 0.0621 0.0621 0.1862
O 0.0821 0.5544 0.1912
O 0.1592 0.1592 0.4912
O 0.2426 0.7746 0.7916
O 0.2656 0.2656 0.7968
O 0.2745 0.2745 0.2919
O 0.2747 0.7427 0.2915
O 0.3564 0.8691 0.0944
O 0.3666 0.3666 0.0997
O 0.3688 0.3688 0.5953
O 0.3713 0.8567 0.5943
O 0.4608 0.4608 0.8863
O 0.4606 0.9647 0.8863
O 0.4629 0.4629 0.3859
O 0.4658 0.9594 0.3866
O 0.5544 0.0821 0.1912
O 0.5545 0.5545 0.1911
O 0.5624 0.5624 0.6863
O 0.5826 0.0539 0.6914
O 0.6637 0.6637 0.9910
O 0.7427 0.2747 0.2915
O 0.7656 0.7656 0.2969
O 0.7746 0.2426 0.7916
O 0.7746 0.7746 0.7917
O 0.8567 0.3713 0.5943
O 0.8660 0.8660 0.5996
O 0.8691 0.3564 0.0944
O 0.8690 0.8690 0.0944
O 0.9594 0.4658 0.3866
O 0.9614 0.9614 0.3861
O 0.9619 0.9619 0.8860
O 0.9647 0.4606 0.8863

Top 12 peaks for 2θ = 10–90°, most intense first:
Position (°2θ)  I (rel.)
15.61  100
45.66  96
66.16  79
66.96  59
34.28  56
35.49  45
38.28  41
31.68  37
20.94  36
36.83  29
58.10  29
32.03  27

Theoretical powder diffractogram of Zr2N2O for Cu Kα, from the GGA-PBE geometry in the Materials Project.
No peak broadening, texture or thermal motion is included.

Structure:
abc: 8.8756 8.8793 8.8805
angles: 109.62 109.43 109.36
Fractional positions:
Zr 0.0000 0.0000 0.0000
Zr 0.0019 0.4949 0.5114
Zr 0.0312 0.2725 0.8220
Zr 0.2091 0.2386 0.5400
Zr 0.2394 0.0156 0.7879
Zr 0.2444 0.5291 0.3006
Zr 0.2890 0.8182 0.0404
Zr 0.4614 0.7706 0.7490
Zr 0.4887 0.0580 0.5692
Zr 0.5128 0.5739 0.0796
Zr 0.5303 0.2741 0.3318
Zr 0.7147 0.7441 0.5448
Zr 0.7389 0.5302 0.7809
Zr 0.7413 0.0198 0.2938
Zr 0.7894 0.3184 0.0461
Zr 0.9601 0.7711 0.2572
N 0.0076 0.2546 0.0617
N 0.0200 0.5711 0.3014
N 0.2049 0.7570 0.7564
N 0.2156 0.9843 0.5191
N 0.2614 0.4905 0.5267
N 0.2829 0.0739 0.0627
N 0.4768 0.3024 0.5541
N 0.4846 0.7990 0.5165
N 0.5135 0.0202 0.3260
N 0.5206 0.7884 0.0195
N 0.7004 0.5127 0.0144
N 0.7183 0.7675 0.8062
N 0.7609 0.8011 0.3352
N 0.7894 0.5349 0.5592
N 0.9744 0.2645 0.5631
N 0.9775 0.9953 0.7429
O 0.0242 0.7532 0.0325
O 0.2352 0.5584 0.0481
O 0.2916 0.3020 0.8265
O 0.4734 0.4818 0.2745
O 0.5236 0.0663 0.8387
O 0.7356 0.2505 0.2385
O 0.7827 0.2876 0.7819
O 0.9888 0.0381 0.2559

Top 12 peaks for 2θ = 10–90°, most intense first:
Position (°2θ)  I (rel.)
30.20  100
50.34  31
34.98  18
59.80  17
21.23  14
35.07  10
59.92  9
45.08  9
50.39  7
41.30  6
37.19  6
62.79  5

Theoretical powder diffractogram of KCeZr4O12 for Cu Kα, from the GGA-PBE geometry in the Materials Project.
No peak broadening, texture or thermal motion is included.

Structure:
abc: 8.2846 5.8068 5.8068
angles: 88.93 90.00 90.00
Fractional positions:
K 0.0000 0.0000 0.0000
Ce 0.5000 0.4845 0.4845
Zr 0.2451 0.4972 0.9883
Zr 0.2451 0.9883 0.4972
Zr 0.7549 0.4972 0.9883
Zr 0.7549 0.9883 0.4972
O 0.0000 0.0087 0.4566
O 0.0000 0.4566 0.0087
O 0.2255 0.7911 0.7911
O 0.2924 0.2866 0.6992
O 0.2924 0.6992 0.2866
O 0.3210 0.2483 0.2483
O 0.5000 0.5455 0.8898
O 0.5000 0.8898 0.5455
O 0.6790 0.2483 0.2483
O 0.7076 0.2866 0.6992
O 0.7076 0.6992 0.2866
O 0.7745 0.7911 0.7911

Top 12 peaks for 2θ = 10–90°, most intense first:
Position (°2θ)  I (rel.)
30.81  100
18.66  53
30.51  48
54.41  47
43.69  37
21.45  33
54.96  24
64.17  17
36.01  16
10.68  16
44.55  16
21.85  14

Theoretical powder diffractogram of KAu2O4 for Cu Kα, from the GGA-PBE geometry in the Materials Project.
No peak broadening, texture or thermal motion is included.

Structure:
abc: 6.9695 6.9695 5.5912
angles: 90.00 90.00 90.00
Fractional positions:
K 0.0000 0.5000 0.0000
K 0.5000 0.0000 0.5000
Au 0.0000 0.2053 0.5000
Au 0.0000 0.7947 0.5000
Au 0.2053 0.0000 0.0000
Au 0.7947 0.0000 0.0000
O 0.2095 0.2095 0.2500
O 0.2095 0.2095 0.7500
O 0.2095 0.7905 0.2500
O 0.2095 0.7905 0.7500
O 0.7905 0.2095 0.2500
O 0.7905 0.2095 0.7500
O 0.7905 0.7905 0.2500
O 0.7905 0.7905 0.7500

Top 12 peaks for 2θ = 10–90°, most intense first:
Position (°2θ)  I (rel.)
12.70  100
30.22  49
32.90  41
34.57  15
58.01  14
42.12  14
55.96  12
49.30  11
44.17  11
32.01  11
20.36  9
75.38  9

Theoretical powder diffractogram of Li3Cu3P2O8 for Cu Kα, from the GGA-PBE geometry in the Materials Project.
No peak broadening, texture or thermal motion is included.

Structure:
abc: 5.1097 5.3856 6.2762
angles: 90.18 90.08 90.03
Fractional positions:
Li 0.0000 0.0000 0.0000
Li 0.9998 0.0014 0.5031
Li 0.5022 0.6540 0.0044
Cu 0.5044 0.6578 0.4966
Cu 0.5062 0.1538 0.7510
Cu 0.9993 0.5000 0.2522
P 0.0070 0.5033 0.7569
P 0.5072 0.1466 0.2467
O 0.3106 0.5146 0.7654
O 0.3885 0.0252 0.4521
O 0.3964 0.0047 0.0483
O 0.4159 0.4228 0.2368
O 0.8107 0.1301 0.2515
O 0.8924 0.6424 0.9548
O 0.9128 0.6434 0.5519
O 0.9166 0.2263 0.7526

Top 12 peaks for 2θ = 10–90°, most intense first:
Position (°2θ)  I (rel.)
35.13  100
33.03  99
37.53  99
24.01  97
33.27  63
37.76  53
16.46  49
37.62  39
41.68  37
27.97  34
21.73  34
22.44  32